Entry 1:
For Ca3VN3, a DFT-relaxed cell (GGA-PBE, the Materials Project) gives the simulated powder diffraction line list in this record (Cu Kα (weighted mean of Kα1 and Kα2)).

```
Ca3VN3
1.0
4.2661 -5.2061 0.0000
4.2661 5.2061 0.0000
0.0000 0.0000 5.0866
Ca V N
6 2 6
Direct
0.1086 0.8914 0.7500
0.1720 0.4021 0.7500
0.4021 0.1720 0.2500
0.5979 0.8280 0.7500
0.8280 0.5979 0.2500
0.8914 0.1086 0.2500
0.3025 0.6975 0.2500
0.6975 0.3025 0.7500
0.1271 0.8729 0.2500
0.1833 0.4308 0.2500
0.4308 0.1833 0.7500
0.5692 0.8167 0.2500
0.8167 0.5692 0.7500
0.8729 0.1271 0.7500
```

Largest 6 diffraction maxima, by intensity, 2θ from 15° to 90°:
| 2θ/deg | I (rel.) |
| --- | --- |
| 32.34 | 100 |
| 35.29 | 73 |
| 34.45 | 37 |
| 32.96 | 32 |
| 32.64 | 27 |
| 42.37 | 22 |

=====

Entry 2:
For Ca5VN5, a DFT-relaxed cell (GGA-PBE, the Materials Project) gives the simulated powder diffraction line list in this record (Cu Kα (weighted mean of Kα1 and Kα2)).

```
Ca5VN5
1.0
6.0419 0.0000 0.0000
0.0000 16.6547 0.0000
0.0000 0.0000 6.8093
Ca V N
20 4 20
Direct
0.0138 0.2370 0.2500
0.0138 0.2630 0.7500
0.2098 0.0746 0.0076
0.2098 0.0746 0.4924
0.2098 0.4254 0.5076
0.2098 0.4254 0.9924
0.3103 0.5820 0.2500
0.3103 0.9180 0.7500
0.4531 0.7500 0.0000
0.4531 0.7500 0.5000
0.5469 0.2500 0.0000
0.5469 0.2500 0.5000
0.6897 0.0820 0.2500
0.6897 0.4180 0.7500
0.7902 0.5746 0.0076
0.7902 0.5746 0.4924
0.7902 0.9254 0.5076
0.7902 0.9254 0.9924
0.9862 0.7370 0.2500
0.9862 0.7630 0.7500
0.2120 0.5932 0.7500
0.2120 0.9068 0.2500
0.7880 0.0932 0.7500
0.7880 0.4068 0.2500
0.0172 0.5100 0.7500
0.0172 0.9900 0.2500
0.1390 0.6547 0.5310
0.1390 0.6547 0.9690
0.1390 0.8453 0.0310
0.1390 0.8453 0.4690
0.3661 0.1749 0.2500
0.3661 0.3251 0.7500
0.4926 0.5521 0.7500
0.4926 0.9479 0.2500
0.5074 0.0521 0.7500
0.5074 0.4479 0.2500
0.6339 0.6749 0.2500
0.6339 0.8251 0.7500
0.8610 0.1547 0.5310
0.8610 0.1547 0.9690
0.8610 0.3453 0.0310
0.8610 0.3453 0.4690
0.9828 0.0100 0.7500
0.9828 0.4900 0.2500
```

Largest 6 diffraction maxima, by intensity, 2θ from 15° to 90°:
| 2θ/deg | I (rel.) |
| --- | --- |
| 34.28 | 100 |
| 32.25 | 37 |
| 36.76 | 32 |
| 31.50 | 31 |
| 53.83 | 29 |
| 37.22 | 28 |

=====

Entry 3:
For Ca7V3N9, a DFT-relaxed cell (GGA-PBE, the Materials Project) gives the simulated powder diffraction line list in this record (Cu Kα (weighted mean of Kα1 and Kα2)).

```
Ca7V3N9
1.0
6.0780 0.0000 0.0000
0.0000 9.9982 0.0000
-0.2364 0.0000 9.0277
Ca V N
14 6 18
Direct
0.0689 0.0838 0.1698
0.0689 0.4162 0.1698
0.0897 0.7500 0.2064
0.2477 0.5805 0.5124
0.2477 0.9195 0.5124
0.4223 0.0685 0.8381
0.4223 0.4315 0.8381
0.5777 0.5685 0.1619
0.5777 0.9315 0.1619
0.7523 0.0805 0.4876
0.7523 0.4195 0.4876
0.9103 0.2500 0.7936
0.9311 0.5838 0.8302
0.9311 0.9162 0.8302
0.2812 0.2500 0.5710
0.3266 0.7500 0.9360
0.4525 0.2500 0.2815
0.5475 0.7500 0.7185
0.6734 0.2500 0.0640
0.7188 0.7500 0.4290
0.1251 0.1068 0.6544
0.1251 0.3932 0.6544
0.2255 0.7500 0.7310
0.2314 0.5956 0.0220
0.2314 0.9044 0.0220
0.3548 0.2500 0.0710
0.3634 0.1048 0.3770
0.3634 0.3952 0.3770
0.4584 0.7500 0.3355
0.5416 0.2500 0.6645
0.6366 0.6048 0.6230
0.6366 0.8952 0.6230
0.6452 0.7500 0.9290
0.7686 0.0956 0.9780
0.7686 0.4044 0.9780
0.7745 0.2500 0.2690
0.8749 0.6068 0.3456
0.8749 0.8932 0.3456
```

Largest 6 diffraction maxima, by intensity, 2θ from 15° to 90°:
| 2θ/deg | I (rel.) |
| --- | --- |
| 36.41 | 100 |
| 32.32 | 99 |
| 36.07 | 73 |
| 30.80 | 27 |
| 19.92 | 27 |
| 55.11 | 23 |

=====

Entry 4:
For Ca2WN2, a DFT-relaxed cell (GGA-PBE, the Materials Project) gives the simulated powder diffraction line list in this record (Cu Kα (weighted mean of Kα1 and Kα2)).

```
Ca2WN2
1.0
5.5203 -2.5865 0.0000
5.5203 2.5865 0.0000
-3.0097 0.0000 5.8847
Ca W N
4 2 4
Direct
0.0252 0.0252 0.2676
0.3221 0.3221 0.8707
0.6779 0.6779 0.1293
0.9748 0.9748 0.7324
0.3563 0.3563 0.3694
0.6437 0.6437 0.6306
0.1832 0.1832 0.1143
0.4975 0.4975 0.7182
0.5025 0.5025 0.2818
0.8168 0.8168 0.8857
```

Largest 6 diffraction maxima, by intensity, 2θ from 15° to 90°:
| 2θ/deg | I (rel.) |
| --- | --- |
| 21.93 | 100 |
| 32.34 | 72 |
| 32.49 | 68 |
| 34.68 | 55 |
| 19.39 | 51 |
| 15.06 | 37 |

=====

Entry 5:
For Ca2WN2, a DFT-relaxed cell (GGA-PBE, the Materials Project) gives the simulated powder diffraction line list in this record (Cu Kα (weighted mean of Kα1 and Kα2)).

```
Ca2WN2
1.0
5.3222 0.0000 0.0000
2.6478 5.6624 0.0000
2.3584 -1.0296 6.0653
Ca W N
4 2 4
Direct
0.0804 0.0805 0.2211
0.2963 0.2864 0.6655
0.7037 0.7136 0.3345
0.9196 0.9195 0.7789
0.4095 0.4332 0.1896
0.5905 0.5668 0.8104
0.1784 0.7081 0.3967
0.4159 0.8896 0.7722
0.5841 0.1104 0.2278
0.8216 0.2919 0.6033
```

Largest 6 diffraction maxima, by intensity, 2θ from 15° to 90°:
| 2θ/deg | I (rel.) |
| --- | --- |
| 15.88 | 100 |
| 20.76 | 81 |
| 33.72 | 77 |
| 30.87 | 70 |
| 20.01 | 64 |
| 31.56 | 64 |

=====

Entry 6:
For Ca3W2N4, a DFT-relaxed cell (GGA-PBE, the Materials Project) gives the simulated powder diffraction line list in this record (Cu Kα (weighted mean of Kα1 and Kα2)).

```
Ca3W2N4
1.0
5.5342 -4.3010 0.0000
5.5342 4.3010 0.0000
-0.0130 0.0000 5.6211
Ca W N
6 4 8
Direct
0.1064 0.8936 0.7500
0.2577 0.5143 0.0285
0.4857 0.7423 0.4715
0.5143 0.2577 0.5285
0.7423 0.4857 0.9715
0.8936 0.1064 0.2500
0.0705 0.3248 0.6001
0.3248 0.0705 0.1001
0.6752 0.9295 0.8999
0.9295 0.6752 0.3999
0.0836 0.2348 0.9307
0.2133 0.5422 0.4988
0.2348 0.0836 0.4307
0.4578 0.7867 0.0012
0.5422 0.2133 0.9988
0.7652 0.9164 0.5693
0.7867 0.4578 0.5012
0.9164 0.7652 0.0693
```

Largest 6 diffraction maxima, by intensity, 2θ from 15° to 90°:
| 2θ/deg | I (rel.) |
| --- | --- |
| 30.77 | 100 |
| 20.52 | 53 |
| 16.01 | 48 |
| 42.02 | 38 |
| 45.96 | 27 |
| 34.54 | 27 |

=====

Entry 7:
For Ca3W2N4, a DFT-relaxed cell (GGA-PBE, the Materials Project) gives the simulated powder diffraction line list in this record (Cu Kα (weighted mean of Kα1 and Kα2)).

```
Ca3W2N4
1.0
6.0112 0.0000 0.0000
0.0000 10.0644 0.0000
0.0000 0.0000 9.3223
Ca W N
12 8 16
Direct
0.1127 0.1565 0.0756
0.1127 0.3435 0.4244
0.2500 0.0000 0.3924
0.2500 0.5000 0.1076
0.3873 0.6565 0.4244
0.3873 0.8435 0.0756
0.6127 0.1565 0.9244
0.6127 0.3435 0.5756
0.7500 0.0000 0.6076
0.7500 0.5000 0.8924
0.8873 0.6565 0.5756
0.8873 0.8435 0.9244
0.0731 0.2500 0.7500
0.2500 0.0000 0.7271
0.2500 0.5000 0.7729
0.4269 0.7500 0.7500
0.5731 0.2500 0.2500
0.7500 0.0000 0.2729
0.7500 0.5000 0.2271
0.9269 0.7500 0.2500
0.0067 0.5682 0.3416
0.0067 0.9318 0.1584
0.2432 0.6629 0.9013
0.2432 0.8371 0.5987
0.2568 0.1629 0.5987
0.2568 0.3371 0.9013
0.4933 0.0682 0.1584
0.4933 0.4318 0.3416
0.5067 0.5682 0.6584
0.5067 0.9318 0.8416
0.7432 0.6629 0.0987
0.7432 0.8371 0.4013
0.7568 0.1629 0.4013
0.7568 0.3371 0.0987
0.9933 0.0682 0.8416
0.9933 0.4318 0.6584
```

Largest 6 diffraction maxima, by intensity, 2θ from 15° to 90°:
| 2θ/deg | I (rel.) |
| --- | --- |
| 17.56 | 100 |
| 19.04 | 73 |
| 39.98 | 68 |
| 19.66 | 67 |
| 32.43 | 44 |
| 33.67 | 38 |

=====

Entry 8:
For Ca3Y3N5, a DFT-relaxed cell (GGA-PBE, the Materials Project) gives the simulated powder diffraction line list in this record (Cu Kα (weighted mean of Kα1 and Kα2)).

```
Ca3Y3N5
1.0
6.7759 0.0000 0.0000
-1.6078 6.8642 0.0000
-1.6180 -3.9824 8.0658
Ca Y N
6 6 10
Direct
0.0785 0.4370 0.3257
0.2487 0.1017 0.0394
0.3848 0.9311 0.6359
0.6152 0.0689 0.3641
0.7513 0.8983 0.9606
0.9215 0.5630 0.6743
0.0360 0.8956 0.3057
0.2776 0.5799 0.0497
0.3996 0.3777 0.6098
0.6004 0.6223 0.3902
0.7224 0.4201 0.9503
0.9640 0.1044 0.6943
0.0263 0.2304 0.4947
0.0414 0.7373 0.9749
0.3263 0.7543 0.3325
0.3296 0.2615 0.8501
0.4071 0.2832 0.3279
0.5929 0.7168 0.6721
0.6704 0.7385 0.1499
0.6737 0.2457 0.6675
0.9586 0.2627 0.0251
0.9737 0.7696 0.5053
```

Largest 6 diffraction maxima, by intensity, 2θ from 15° to 90°:
| 2θ/deg | I (rel.) |
| --- | --- |
| 33.13 | 100 |
| 33.38 | 81 |
| 32.59 | 56 |
| 30.42 | 55 |
| 33.76 | 42 |
| 29.63 | 26 |